[1]
PaFeC2: calculated XRD peak list (Cu Ka), based on a GGA-PBE-relaxed structure.

The 10 most intense peaks (10° ≤ 2θ ≤ 90°), low angle first:
(hkl)	two_theta	d_spacing	I_rel
0 0 4	24.3	3.659	65.4
1 0 1	25.1	3.553	23.6
1 0 3	30.5	2.928	29.7
1 0 4	34.7	2.588	100.0
1 1 1	35.2	2.550	32.2
1 1 2	36.8	2.441	19.6
1 0 5	39.4	2.286	42.8
2 0 1	50.2	1.817	36.2
2 1 3	59.5	1.553	17.8
1 2 6	69.1	1.360	16.0

Structural model:
a b c (Å): 3.6629 3.6629 14.6256
angles (deg): 90.00 90.00 90.00
Space group P4_1 (No. 76)
One atom of each set of equivalent atoms:
Pa: 0.1091 0.1184 0.0000 [4 per cell]
Fe: 0.3775 0.4050 0.5963 [4 per cell]
C: 0.1206 0.6204 0.1366 [4 per cell]
C: 0.3640 0.6195 0.2144 [4 per cell]

---

[2]
LaAl4Ga2: calculated XRD peak list (Cu Ka), based on a GGA-PBE-relaxed structure.

The 10 most intense peaks (10° ≤ 2θ ≤ 90°), low angle first:
(hkl)	two_theta	d_spacing	I_rel
0 2 0	11.5	7.688	80.8
1 3 0	27.3	3.261	23.6
1 1 1	30.5	2.928	100.0
0 4 1	31.5	2.838	42.1
1 3 1	34.8	2.578	81.4
1 5 0	36.1	2.487	43.2
0 6 1	41.2	2.189	34.2
2 0 0	42.8	2.114	30.5
0 0 2	43.0	2.104	30.1
1 7 0	46.6	1.949	23.6

Structural model:
a b c (Å): 4.2276 15.3757 4.2081
angles (deg): 90.00 90.00 90.00
Space group Cmmm (No. 65)
One atom of each set of equivalent atoms:
La: 0.0000 0.0000 0.0000 [2 per cell]
Al: 0.0000 0.1853 0.5000 [4 per cell]
Al: 0.0000 0.3106 0.0000 [4 per cell]
Ga: 0.0000 0.4176 0.5000 [4 per cell]

---

[3]
ZnSiF6: calculated XRD peak list (Cu Ka), based on a GGA-PBE-relaxed structure.

The 10 most intense peaks (10° ≤ 2θ ≤ 90°), low angle first:
(hkl)	two_theta	d_spacing	I_rel
1 0 1	23.4	3.799	100.0
1 0 2	29.2	3.059	60.6
1 0 3	37.0	2.428	28.6
1 1 2	42.4	2.130	48.1
2 0 2	47.9	1.899	11.0
2 0 3	53.4	1.716	14.0
2 -1 4	56.0	1.643	48.9
2 1 1	59.2	1.562	14.0
3 -1 2	62.1	1.495	15.1
3 0 0	66.9	1.399	23.9

Structural model:
a b c (Å): 4.8463 4.8463 8.9371
angles (deg): 90.00 90.00 120.00
Space group P-31c (No. 163)
One atom of each set of equivalent atoms:
Zn: 0.3333 0.6667 0.2500 [2 per cell]
Si: 0.0000 0.0000 0.0000 [2 per cell]
F: 0.0233 0.3004 0.1109 [12 per cell]